The following is a computed powder X-ray diffraction pattern of LaDy2Rh. It was derived from a crystal structure in Alexandria, relaxed with GGA-PBE, using Cu Ka.
Intensities are scaled so that the largest is 1000.

Structure:
```
data_LaDy2Rh
_chemical_formula_sum 'La1 Dy2 Rh1'
_cell_length_a 3.508
_cell_length_b 3.508
_cell_length_c 8.912
_cell_angle_alpha 90.00
_cell_angle_beta 90.00
_cell_angle_gamma 90.00
_symmetry_space_group_name_H-M 'P 4/m m m'
_symmetry_Int_Tables_number 123
_symmetry_space_group_name_Hall '-P 4 2'
loop_
_atom_site_label
_atom_site_type_symbol
_atom_site_fract_x
_atom_site_fract_y
_atom_site_fract_z
La1 La 0.000 0.000 0.000
Dy1 Dy 0.500 0.500 0.318
Rh1 Rh 0.000 0.000 0.500
```

Most intense lines, 5 to 70 degrees two-theta, by angle:
2θ 9.9, I = 201, (0 0 1)
2θ 27.3, I = 201, (1 0 1)
2θ 32.5, I = 1000, (1 0 2)
2θ 36.2, I = 574, (1 1 0)
2θ 39.8, I = 213, (1 0 3)
2θ 47.8, I = 190, (1 1 3)
2θ 52.1, I = 202, (2 0 0)
2θ 62.8, I = 298, (2 1 2)